Diffraction record for LiMn3OF5. The X-ray powder pattern is computed, not measured: it uses DFT lattice parameters and positions (GGA+U) and copper Kα.

Crystal structure
```
data_LiMn3OF5
_chemical_formula_sum 'Li2 Mn6 O2 F10'
_symmetry_space_group_name_H-M 'P 1'
_symmetry_Int_Tables_number 1
_cell_length_a 6.3065
_cell_length_b 6.3412
_cell_length_c 6.3469
_cell_angle_alpha 92.44
_cell_angle_beta 92.22
_cell_angle_gamma 92.46
loop_
_symmetry_equiv_pos_as_xyz
'x,y,z'
loop_
_atom_site_label
_atom_site_type_symbol
_atom_site_fract_x
_atom_site_fract_y
_atom_site_fract_z
_atom_site_occupancy
Li1 Li 0.0000 0.0000 0.0000 1
Li2 Li 0.4811 0.4887 0.4850 1
Mn1 Mn 0.0531 0.7638 0.5979 1
Mn2 Mn 0.2276 0.4570 0.9374 1
Mn3 Mn 0.4225 0.9648 0.2584 1
Mn4 Mn 0.5618 0.0892 0.7425 1
Mn5 Mn 0.7626 0.6019 0.0574 1
Mn6 Mn 0.9004 0.2520 0.4242 1
O1 O 0.0289 0.6975 0.9075 1
O2 O 0.5791 0.1948 0.4395 1
F1 F 0.0841 0.9699 0.3214 1
F2 F 0.1724 0.4249 0.5704 1
F3 F 0.3024 0.1247 0.9673 1
F4 F 0.3967 0.8118 0.5897 1
F5 F 0.4260 0.6155 0.1934 1
F6 F 0.5560 0.4378 0.8240 1
F7 F 0.6697 0.9301 0.0267 1
F8 F 0.8074 0.6030 0.4036 1
F9 F 0.9097 0.0633 0.7047 1
F10 F 0.9466 0.3116 0.0991 1
```

Top 10 peaks for 2θ from 10° to 90°, in order of rising 2θ:
two_theta, I_rel, h k l
19.43, 44, 1 -1 0
24.03, 25, 1 -1 1
25.44, 83, 1 1 1
31.03, 100, 0 1 -2
31.20, 50, 2 0 -1
32.16, 27, 0 2 1
44.64, 32, 0 3 -1
45.90, 38, 1 0 3
46.17, 23, 3 1 0
53.10, 34, 2 1 -3